This entry pairs a crystal structure of Tm2N3 with its computed powder diffractogram. Radiation: Cu Ka. Structure: a cell relaxed with PBE.

Structural model:
```
Tm2N3
1.0
-5.381 5.381 5.381
5.381 -5.381 5.381
5.381 5.381 -5.381
Tm N
16 24
Cartesian
0.000 0.000 0.000
5.381 0.000 0.000
5.381 -2.690 3.014
8.071 2.367 0.000
3.014 5.381 -2.690
3.014 0.000 2.690
2.690 3.014 0.000
5.381 2.690 2.367
0.000 5.381 0.000
0.000 0.000 5.381
0.000 2.690 3.014
2.690 2.367 5.381
2.367 5.381 2.690
2.367 0.000 8.071
-2.690 3.014 5.381
0.000 8.071 2.367
6.472 1.493 -1.385
1.493 1.385 -1.091
1.385 -1.091 1.493
3.888 1.385 1.091
4.290 3.888 -1.385
6.766 1.091 1.493
6.766 -1.091 3.888
-1.091 1.493 1.385
3.888 -1.385 4.290
1.385 1.091 3.888
1.493 -1.385 6.472
1.091 3.888 1.385
4.290 1.493 3.996
3.888 6.766 -1.091
3.996 4.290 1.493
1.493 6.766 1.091
6.472 3.888 3.996
-1.385 6.472 1.493
-1.385 4.290 3.888
1.091 1.493 6.766
1.493 3.996 4.290
3.996 6.472 3.888
3.888 3.996 6.472
-1.091 3.888 6.766
```

Principal peaks in the range 2θ = 5–70°, most intense first:
28.7 deg, d = 3.107 Å, I 100; 33.3 deg, d = 2.690 Å, I 38; 47.8 deg, d = 1.902 Å, I 38; 56.7 deg, d = 1.622 Å, I 34; 20.2 deg, d = 4.394 Å, I 8; 59.5 deg, d = 1.553 Å, I 8; 42.8 deg, d = 2.111 Å, I 7; 58.1 deg, d = 1.587 Å, I 5; 35.4 deg, d = 2.537 Å, I 5; 69.9 deg, d = 1.345 Å, I 5; 52.4 deg, d = 1.746 Å, I 5; 55.3 deg, d = 1.661 Å, I 3

---

This entry pairs a crystal structure of U16N25 with its computed powder diffractogram. Radiation: Cu Ka. Structure: a cell relaxed with PBE.

Structural model:
```
U16N25
1.0
7.545 4.356 3.068
-7.545 4.356 3.068
0.000 -8.712 3.068
U N
16 25
Cartesian
0.000 0.000 0.000
-5.637 1.270 3.002
-3.936 -4.273 5.807
1.719 -5.517 3.002
-1.926 0.915 2.971
0.171 -2.126 2.971
-1.909 -1.281 5.826
-3.746 2.151 5.930
0.010 -4.319 5.930
1.755 1.211 2.971
-0.155 2.294 5.826
-1.732 5.545 5.807
2.064 -1.013 5.826
3.918 4.247 3.002
5.668 -1.273 5.807
3.736 2.168 5.930
-1.882 -1.372 3.563
-3.999 -2.037 5.107
-0.221 -4.429 3.680
-5.504 0.927 5.275
-3.726 2.406 3.680
0.000 0.000 2.270
-5.629 -3.290 6.877
-1.983 -3.447 6.580
-0.247 2.316 3.563
-1.933 0.885 5.325
2.129 -0.944 3.563
1.949 -5.231 5.275
0.200 -2.116 5.325
3.763 -2.445 5.107
-1.994 3.441 6.580
-1.792 -1.019 8.070
3.947 2.023 3.680
1.733 1.232 5.325
0.236 4.482 5.107
1.779 -1.042 8.070
0.013 2.061 8.070
3.555 4.303 5.275
3.977 0.006 6.580
-0.035 6.520 6.877
5.664 -3.230 6.877
```

Principal peaks in the range 2θ = 5–70°, most intense first:
29.0 deg, d = 3.079 Å, I 100; 33.6 deg, d = 2.664 Å, I 55; 57.3 deg, d = 1.607 Å, I 40; 29.1 deg, d = 3.068 Å, I 33; 48.2 deg, d = 1.886 Å, I 27; 48.4 deg, d = 1.881 Å, I 27; 57.5 deg, d = 1.604 Å, I 13; 60.1 deg, d = 1.539 Å, I 10; 20.4 deg, d = 4.351 Å, I 5; 35.7 deg, d = 2.512 Å, I 4; 43.3 deg, d = 2.091 Å, I 3; 60.3 deg, d = 1.534 Å, I 3

---

This entry pairs a crystal structure of U3N with its computed powder diffractogram. Radiation: Cu Ka. Structure: a cell relaxed with PBE.

Structural model:
```
U3N
1.0
4.032 0.000 0.000
0.000 4.032 0.000
0.000 0.000 4.032
U N
3 1
Cartesian
0.000 0.000 2.016
0.000 2.016 0.000
2.016 0.000 0.000
2.016 2.016 2.016
```

Principal peaks in the range 2θ = 5–70°, most intense first:
38.7 deg, d = 2.328 Å, I 100; 45.0 deg, d = 2.016 Å, I 49; 65.5 deg, d = 1.425 Å, I 33; 22.0 deg, d = 4.032 Å, I 28; 31.4 deg, d = 2.851 Å, I 24; 50.6 deg, d = 1.803 Å, I 14; 55.9 deg, d = 1.646 Å, I 10

---

This entry pairs a crystal structure of ZrUN2 with its computed powder diffractogram. Radiation: Cu Ka. Structure: a cell relaxed with PBE.

Structural model:
```
ZrUN2
1.0
3.341 0.000 0.000
-1.671 2.893 0.000
0.000 0.000 16.605
Zr U N
3 3 6
Cartesian
0.000 0.000 0.000
0.000 1.929 11.070
1.671 0.964 5.535
0.000 0.000 8.302
0.000 1.929 2.767
1.671 0.964 13.837
0.000 0.000 4.206
0.000 0.000 12.399
0.000 1.929 6.864
0.000 1.929 15.276
1.671 0.964 1.329
1.671 0.964 9.741
```

Principal peaks in the range 2θ = 5–70°, most intense first:
32.8 deg, d = 2.732 Å, I 100; 37.9 deg, d = 2.374 Å, I 95; 32.3 deg, d = 2.767 Å, I 35; 16.0 deg, d = 5.535 Å, I 35; 54.4 deg, d = 1.687 Å, I 33; 55.0 deg, d = 1.671 Å, I 32; 65.2 deg, d = 1.430 Å, I 30; 31.4 deg, d = 2.851 Å, I 23; 64.7 deg, d = 1.440 Å, I 19; 68.7 deg, d = 1.366 Å, I 16; 65.5 deg, d = 1.425 Å, I 15; 41.4 deg, d = 2.182 Å, I 12

---

This entry pairs a crystal structure of ZrUN2 with its computed powder diffractogram. Radiation: Cu Ka. Structure: a cell relaxed with PBE.

Structural model:
```
ZrUN2
1.0
4.737 0.000 0.000
0.000 4.737 0.000
0.000 0.000 9.463
Zr U N
4 4 8
Cartesian
0.000 1.184 3.549
0.000 3.553 5.914
2.369 1.184 1.183
2.369 3.553 8.280
0.000 1.184 8.280
0.000 3.553 1.183
2.369 1.184 5.914
2.369 3.553 3.549
0.000 1.184 1.212
0.000 1.184 5.886
0.000 3.553 3.577
0.000 3.553 8.251
2.369 1.184 3.520
2.369 1.184 8.309
2.369 3.553 1.154
2.369 3.553 5.943
```

Principal peaks in the range 2θ = 5–70°, most intense first:
32.8 deg, d = 2.734 Å, I 100; 38.0 deg, d = 2.368 Å, I 71; 54.8 deg, d = 1.674 Å, I 48; 65.4 deg, d = 1.428 Å, I 45; 21.0 deg, d = 4.236 Å, I 29; 68.7 deg, d = 1.367 Å, I 16; 43.8 deg, d = 2.067 Å, I 10; 34.2 deg, d = 2.626 Å, I 10; 52.0 deg, d = 1.758 Å, I 9; 66.2 deg, d = 1.412 Å, I 5; 59.3 deg, d = 1.557 Å, I 2

---

This entry pairs a crystal structure of V32N3 with its computed powder diffractogram. Radiation: Cu Ka. Structure: a cell relaxed with PBE.

Structural model:
```
V32N3
1.0
8.660 0.000 0.000
0.000 2.988 0.000
-0.201 0.000 17.373
V N
32 3
Cartesian
0.900 0.000 5.500
0.778 1.494 16.390
0.820 0.000 14.101
0.905 1.494 7.686
1.036 1.494 3.370
0.941 1.494 11.918
1.012 0.000 9.812
1.358 0.000 1.381
2.782 1.494 14.371
2.925 1.494 5.726
3.107 0.000 7.734
3.043 0.000 16.371
3.144 1.494 9.751
3.191 0.000 12.008
3.319 1.494 1.098
3.310 0.000 3.379
5.149 0.000 13.994
5.140 1.494 16.275
5.268 0.000 5.365
5.315 1.494 7.622
5.416 0.000 1.001
5.352 0.000 9.639
5.535 1.494 11.647
5.677 1.494 3.002
7.101 0.000 15.992
7.447 0.000 7.561
7.518 1.494 5.455
7.423 1.494 14.003
7.554 1.494 9.687
7.639 0.000 3.272
7.681 1.494 0.982
7.560 0.000 11.873
0.000 0.000 0.000
4.167 1.494 13.014
4.293 1.494 4.359
```

Principal peaks in the range 2θ = 5–70°, most intense first:
42.4 deg, d = 2.134 Å, I 100; 42.1 deg, d = 2.146 Å, I 95; 41.6 deg, d = 2.172 Å, I 44; 41.7 deg, d = 2.165 Å, I 44; 62.1 deg, d = 1.494 Å, I 16; 60.8 deg, d = 1.524 Å, I 14; 60.0 deg, d = 1.542 Å, I 12; 48.4 deg, d = 1.880 Å, I 5; 42.9 deg, d = 2.106 Å, I 3; 42.8 deg, d = 2.112 Å, I 3; 37.2 deg, d = 2.418 Å, I 2; 37.9 deg, d = 2.371 Å, I 2

---

This entry pairs a crystal structure of VWN3 with its computed powder diffractogram. Radiation: Cu Ka. Structure: a cell relaxed with PBE.

Structural model:
```
VWN3
1.0
5.393 0.000 0.000
1.452 6.526 0.000
0.343 2.523 8.380
V W N
4 4 12
Cartesian
1.324 1.631 3.605
2.786 8.423 6.596
4.402 0.625 1.783
5.863 7.417 4.775
2.493 5.411 1.474
2.110 4.020 4.942
5.078 5.029 3.438
4.695 3.637 6.906
0.653 3.290 3.570
1.185 3.831 6.663
0.927 0.723 1.956
3.368 7.646 8.105
2.443 1.839 5.136
3.276 4.474 2.945
3.911 4.575 5.434
4.744 7.210 3.244
3.819 1.402 0.275
6.260 8.326 6.424
6.003 5.218 1.717
6.534 5.758 4.809
```

Principal peaks in the range 2θ = 5–70°, most intense first:
15.0 deg, d = 5.888 Å, I 100; 10.6 deg, d = 8.380 Å, I 32; 34.4 deg, d = 2.605 Å, I 29; 24.0 deg, d = 3.708 Å, I 23; 34.1 deg, d = 2.631 Å, I 23; 31.7 deg, d = 2.825 Å, I 22; 27.5 deg, d = 3.238 Å, I 16; 28.4 deg, d = 3.143 Å, I 16; 27.4 deg, d = 3.250 Å, I 15; 36.7 deg, d = 2.450 Å, I 14; 30.4 deg, d = 2.944 Å, I 13; 34.7 deg, d = 2.587 Å, I 13

---

This entry pairs a crystal structure of VZn4N4 with its computed powder diffractogram. Radiation: Cu Ka. Structure: a cell relaxed with PBE.

Structural model:
```
VZn4N4
1.0
5.344 0.000 0.000
1.717 5.110 0.000
1.631 1.479 7.923
V Zn N
2 8 8
Cartesian
1.570 1.166 1.771
7.121 5.423 6.152
2.568 3.826 3.017
4.317 5.253 7.911
3.280 2.616 6.336
4.473 4.905 4.792
4.219 1.684 3.131
5.412 3.973 1.587
4.374 1.336 0.012
6.124 2.763 4.906
1.440 1.490 6.508
2.522 4.079 5.095
2.339 1.740 0.204
4.478 5.325 2.767
4.213 1.264 5.156
6.352 4.849 7.719
6.169 2.510 2.828
7.251 5.099 1.415
```

Principal peaks in the range 2θ = 5–70°, most intense first:
35.0 deg, d = 2.563 Å, I 100; 36.0 deg, d = 2.492 Å, I 57; 41.4 deg, d = 2.179 Å, I 45; 35.8 deg, d = 2.511 Å, I 42; 45.6 deg, d = 1.989 Å, I 21; 35.4 deg, d = 2.533 Å, I 18; 58.2 deg, d = 1.585 Å, I 14; 44.2 deg, d = 2.050 Å, I 14; 30.4 deg, d = 2.943 Å, I 13; 59.0 deg, d = 1.566 Å, I 12; 37.1 deg, d = 2.421 Å, I 12; 63.1 deg, d = 1.473 Å, I 8

---

This entry pairs a crystal structure of V2ZnN2 with its computed powder diffractogram. Radiation: Cu Ka. Structure: a cell relaxed with PBE.

Structural model:
```
V2ZnN2
1.0
3.742 0.000 0.000
0.000 3.742 0.000
0.000 0.000 4.881
V Zn N
2 1 2
Cartesian
0.000 0.000 1.073
0.000 0.000 3.808
1.871 1.871 2.441
0.000 1.871 3.710
1.871 0.000 1.171
```

Principal peaks in the range 2θ = 5–70°, most intense first:
30.1 deg, d = 2.970 Å, I 100; 44.3 deg, d = 2.044 Å, I 100; 33.9 deg, d = 2.646 Å, I 85; 48.7 deg, d = 1.871 Å, I 52; 67.9 deg, d = 1.380 Å, I 50; 58.3 deg, d = 1.583 Å, I 27; 18.2 deg, d = 4.881 Å, I 24; 38.7 deg, d = 2.326 Å, I 17; 67.6 deg, d = 1.386 Å, I 14; 23.8 deg, d = 3.742 Å, I 10; 56.6 deg, d = 1.627 Å, I 7; 52.4 deg, d = 1.747 Å, I 6

---

This entry pairs a crystal structure of Zr7V5N2 with its computed powder diffractogram. Radiation: Cu Ka. Structure: a cell relaxed with PBE.

Structural model:
```
Zr7V5N2
1.0
-4.341 4.367 6.153
4.341 -4.367 6.153
4.341 4.367 -6.153
Zr V N
14 10 4
Cartesian
0.000 0.000 0.000
2.745 0.543 1.557
5.937 0.543 1.557
4.341 2.183 -0.736
2.745 4.910 -1.557
1.596 0.543 4.596
0.000 2.183 2.323
0.000 4.367 0.000
4.341 2.183 3.830
2.745 3.824 1.557
1.596 -0.543 7.710
0.000 2.183 6.889
-1.596 3.824 4.596
1.596 3.824 4.596
2.170 2.183 -3.076
2.170 -2.183 3.076
4.341 3.495 -3.530
4.341 -0.872 3.530
1.447 2.183 -0.726
2.894 -2.183 5.426
1.447 6.550 0.726
2.894 2.183 6.879
0.000 5.239 2.622
0.000 0.872 9.683
4.341 0.000 0.000
-2.170 2.183 3.076
0.000 0.000 6.153
2.170 2.183 3.076
```

Principal peaks in the range 2θ = 5–70°, most intense first:
37.9 deg, d = 2.372 Å, I 100; 38.0 deg, d = 2.367 Å, I 98; 35.8 deg, d = 2.509 Å, I 57; 64.2 deg, d = 1.450 Å, I 52; 35.7 deg, d = 2.518 Å, I 37; 31.6 deg, d = 2.828 Å, I 37; 41.5 deg, d = 2.176 Å, I 31; 31.7 deg, d = 2.819 Å, I 20; 64.1 deg, d = 1.453 Å, I 17; 61.8 deg, d = 1.502 Å, I 13; 53.1 deg, d = 1.724 Å, I 12; 49.0 deg, d = 1.858 Å, I 10

---

This entry pairs a crystal structure of W2N with its computed powder diffractogram. Radiation: Cu Ka. Structure: a cell relaxed with PBE.

Structural model:
```
W2N
1.0
2.835 0.000 0.000
-1.418 2.455 0.000
0.000 0.000 17.657
W N
6 3
Cartesian
0.000 0.000 1.336
0.000 0.000 16.320
0.000 1.637 4.627
0.000 1.637 7.366
1.418 0.818 10.290
1.418 0.818 13.030
0.000 0.000 8.828
0.000 1.637 2.654
1.418 0.818 15.002
```

Principal peaks in the range 2θ = 5–70°, most intense first:
37.0 deg, d = 2.432 Å, I 100; 30.4 deg, d = 2.943 Å, I 61; 52.0 deg, d = 1.759 Å, I 47; 45.0 deg, d = 2.016 Å, I 40; 38.0 deg, d = 2.366 Å, I 38; 65.9 deg, d = 1.418 Å, I 25; 56.0 deg, d = 1.641 Å, I 22; 42.1 deg, d = 2.146 Å, I 11; 63.2 deg, d = 1.471 Å, I 6; 46.3 deg, d = 1.962 Å, I 3; 48.3 deg, d = 1.885 Å, I 2; 15.1 deg, d = 5.886 Å, I 2